[1]
The following is a computed powder X-ray diffraction pattern of AlBi2O4. It was derived from a GGA-PBE-relaxed structure, using Cu Kα.

Cell and atoms:
Cell lengths 8.377, 8.377, 6.295 Å; angles 90.00, 90.00, 90.00 degrees
Fractional positions:
Al 0.250 0.250 0.069
Al 0.250 0.250 0.569
Al 0.750 0.750 0.431
Al 0.750 0.750 0.931
Bi 0.083 0.583 0.250
Bi 0.083 0.917 0.750
Bi 0.417 0.583 0.750
Bi 0.417 0.917 0.250
Bi 0.583 0.083 0.750
Bi 0.583 0.417 0.250
Bi 0.917 0.083 0.250
Bi 0.917 0.417 0.750
O 0.051 0.151 0.584
O 0.051 0.349 0.084
O 0.151 0.051 0.084
O 0.151 0.449 0.584
O 0.349 0.051 0.584
O 0.349 0.449 0.084
O 0.449 0.151 0.084
O 0.449 0.349 0.584
O 0.551 0.651 0.416
O 0.551 0.849 0.916
O 0.651 0.551 0.916
O 0.651 0.949 0.416
O 0.849 0.551 0.416
O 0.849 0.949 0.916
O 0.949 0.651 0.916
O 0.949 0.849 0.416

Most intense lines, 5° ≤ 2θ ≤ 70°, sorted by position:
- 21.21 deg, rel. 20.2
- 27.71 deg, rel. 100.0
- 28.36 deg, rel. 17.1
- 33.84 deg, rel. 14.5
- 35.68 deg, rel. 13.6
- 44.72 deg, rel. 12.7
- 47.00 deg, rel. 29.3
- 49.81 deg, rel. 24.6
- 54.89 deg, rel. 16.6
- 61.40 deg, rel. 12.0

***

[2]
The following is a computed powder X-ray diffraction pattern of Ba2ScOsO6. It was derived from a GGA-PBE-relaxed structure, using Cu Kα.

Cell and atoms:
Cell lengths 5.836, 5.836, 5.836 Å; angles 60.00, 60.00, 60.00 degrees
Fractional positions:
Ba 0.250 0.250 0.250
Ba 0.750 0.750 0.750
Sc 0.000 0.000 0.000
Os 0.500 0.500 0.500
O 0.258 0.258 0.742
O 0.258 0.742 0.258
O 0.258 0.742 0.742
O 0.742 0.258 0.258
O 0.742 0.258 0.742
O 0.742 0.742 0.258

Most intense lines, 5° ≤ 2θ ≤ 70°, sorted by position:
- 18.62 deg, rel. 21.8
- 30.64 deg, rel. 100.0
- 36.09 deg, rel. 11.9
- 37.76 deg, rel. 3.0
- 43.88 deg, rel. 30.1
- 48.05 deg, rel. 5.1
- 54.46 deg, rel. 40.0
- 58.07 deg, rel. 4.7
- 63.79 deg, rel. 18.6
- 67.09 deg, rel. 4.6

***

[3]
The following is a computed powder X-ray diffraction pattern of TaRh3. It was derived from a GGA-PBE-relaxed structure, using Cu Kα.

Cell and atoms:
Cell lengths 3.904, 3.904, 3.904 Å; angles 90.00, 90.00, 90.00 degrees
Fractional positions:
Ta 0.000 0.000 0.000
Rh 0.000 0.500 0.500
Rh 0.500 0.000 0.500
Rh 0.500 0.500 0.000

Most intense lines, 5° ≤ 2θ ≤ 70°, sorted by position:
- 22.78 deg, rel. 6.5
- 32.43 deg, rel. 5.6
- 40.00 deg, rel. 100.0
- 46.52 deg, rel. 48.6
- 52.40 deg, rel. 3.1
- 57.85 deg, rel. 2.4
- 67.90 deg, rel. 31.0

***

[4]
The following is a computed powder X-ray diffraction pattern of TaBiP4O14. It was derived from a GGA-PBE-relaxed structure, using Cu Kα.

Cell and atoms:
Cell lengths 8.675, 8.545, 8.535 Å; angles 90.00, 90.67, 90.00 degrees
Fractional positions:
Ta 0.000 0.000 0.000
Ta 0.000 0.500 0.500
Bi 0.500 0.000 0.500
Bi 0.500 0.500 0.000
P 0.090 0.116 0.387
P 0.090 0.384 0.887
P 0.374 0.591 0.401
P 0.374 0.909 0.901
P 0.626 0.091 0.099
P 0.626 0.409 0.599
P 0.910 0.616 0.113
P 0.910 0.884 0.613
O 0.000 0.000 0.500
O 0.000 0.500 0.000
O 0.025 0.220 0.924
O 0.025 0.280 0.424
O 0.037 0.070 0.220
O 0.037 0.430 0.720
O 0.220 0.539 0.479
O 0.220 0.961 0.979
O 0.260 0.105 0.413
O 0.260 0.395 0.913
O 0.376 0.532 0.235
O 0.376 0.968 0.735
O 0.399 0.736 0.922
O 0.399 0.764 0.422
O 0.500 0.000 0.000
O 0.500 0.500 0.500
O 0.601 0.236 0.578
O 0.601 0.264 0.078
O 0.624 0.032 0.265
O 0.624 0.468 0.765
O 0.740 0.605 0.087
O 0.740 0.895 0.587
O 0.780 0.039 0.021
O 0.780 0.461 0.521
O 0.963 0.570 0.280
O 0.963 0.930 0.780
O 0.975 0.720 0.576
O 0.975 0.780 0.076

Most intense lines, 5° ≤ 2θ ≤ 70°, sorted by position:
- 17.83 deg, rel. 52.9
- 17.97 deg, rel. 61.8
- 20.48 deg, rel. 47.0
- 20.80 deg, rel. 100.0
- 29.34 deg, rel. 24.8
- 29.57 deg, rel. 36.6
- 34.72 deg, rel. 30.7
- 47.63 deg, rel. 19.5
- 52.17 deg, rel. 21.9
- 55.87 deg, rel. 22.1

***

[5]
The following is a computed powder X-ray diffraction pattern of Tb5Ga3. It was derived from a GGA-PBE-relaxed structure, using Cu Kα.

Cell and atoms:
Cell lengths 8.928, 8.928, 8.928 Å; angles 128.91, 128.91, 75.16 degrees
Fractional positions:
Tb 0.000 0.000 0.000
Tb 0.023 0.523 0.840
Tb 0.182 0.023 0.500
Tb 0.318 0.818 0.840
Tb 0.477 0.318 0.500
Tb 0.500 0.500 0.000
Tb 0.523 0.682 0.500
Tb 0.682 0.182 0.160
Tb 0.818 0.977 0.500
Tb 0.977 0.477 0.160
Ga 0.122 0.378 0.500
Ga 0.250 0.250 0.000
Ga 0.378 0.878 0.256
Ga 0.622 0.122 0.744
Ga 0.750 0.750 0.000
Ga 0.878 0.622 0.500

Most intense lines, 5° ≤ 2θ ≤ 70°, sorted by position:
- 26.64 deg, rel. 17.7
- 30.12 deg, rel. 15.8
- 32.18 deg, rel. 100.0
- 32.90 deg, rel. 13.9
- 34.43 deg, rel. 39.5
- 36.91 deg, rel. 43.6
- 38.16 deg, rel. 13.5
- 52.71 deg, rel. 18.3
- 57.03 deg, rel. 16.5
- 65.20 deg, rel. 12.8

***

[6]
The following is a computed powder X-ray diffraction pattern of TbFe10Si2. It was derived from a GGA-PBE-relaxed structure, using Cu Kα.

Cell and atoms:
Cell lengths 6.356, 6.356, 6.356 Å; angles 136.13, 98.51, 97.53 degrees
Fractional positions:
Tb 0.000 0.000 0.000
Fe 0.000 0.000 0.500
Fe 0.000 0.500 0.000
Fe 0.209 0.500 0.709
Fe 0.355 0.000 0.355
Fe 0.361 0.361 0.000
Fe 0.500 0.000 0.000
Fe 0.500 0.500 0.500
Fe 0.639 0.639 0.000
Fe 0.645 0.000 0.645
Fe 0.791 0.500 0.291
Si 0.236 0.736 0.500
Si 0.764 0.264 0.500

Most intense lines, 5° ≤ 2θ ≤ 70°, sorted by position:
- 30.32 deg, rel. 21.4
- 30.54 deg, rel. 27.9
- 37.35 deg, rel. 27.4
- 37.64 deg, rel. 59.5
- 43.19 deg, rel. 38.9
- 43.46 deg, rel. 56.7
- 43.61 deg, rel. 100.0
- 43.83 deg, rel. 69.4
- 43.94 deg, rel. 42.9
- 49.28 deg, rel. 25.0